Calculated X-ray diffraction stick pattern
Compound: KU2H5C4O15
Radiation: Cu Kα X-rays
Structure: a cell relaxed with PBE
No peak broadening, texture or thermal motion is included.

Main lines, by intensity (15 to 90 degrees two-theta):
two_theta	intensity	h k l
19.2	100	1 0 1
21.3	82	0 3 1
17.0	55	1 0 -1
24.6	47	1 3 0
30.0	33	1 3 -2
16.6	29	1 1 0

Cell and atoms:
Unit cell a=5.8157 b=13.9835 c=9.3542 alpha=90.00 beta=98.00 gamma=90.00
Space group P2_1/m (No. 11)
Asymmetric unit:
K (0.1928, 0.2500, 0.0945) x2
U (0.2869, 0.5932, 0.2645) x4
H (0.2014, 0.1947, 0.4303) x4
H (0.2496, 0.6956, 0.6999) x4
H (0.4894, 0.2500, 0.5910) x2
C (0.0123, 0.5466, 0.5426) x4
C (0.4555, 0.0495, 0.0176) x4
O (0.0246, 0.6304, 0.1514) x4
O (0.0755, 0.0495, 0.3412) x4
O (0.1165, 0.6150, 0.4892) x4
O (0.2494, 0.7500, 0.7654) x2
O (0.3043, 0.2500, 0.4306) x2
O (0.3365, 0.0542, 0.1207) x4
O (0.3848, 0.7500, 0.3232) x2
O (0.4438, 0.0587, 0.6281) x4
O (0.4911, 0.6184, 0.0594) x4

=====

Calculated X-ray diffraction stick pattern
Compound: HoBO3
Radiation: Cu Kα X-rays
Structure: a cell relaxed with PBE
No peak broadening, texture or thermal motion is included.

Main lines, by intensity (15 to 90 degrees two-theta):
two_theta	intensity	h k l
30.7	100	-2 1 1
20.4	47	0 2 0
27.9	27	0 1 3
27.7	26	2 1 -1
32.2	24	2 2 2
51.2	19	2 1 5

Cell and atoms:
Unit cell a=7.2280 b=9.0211 c=9.8740 alpha=81.35 beta=85.65 gamma=77.18
Space group P-1 (No. 2)
Asymmetric unit:
Ho (0.0661, 0.0585, 0.1576) x2
Ho (0.0739, 0.5562, 0.6554) x2
Ho (0.2375, 0.9393, 0.5289) x2
Ho (0.2503, 0.4549, 0.0211) x2
Ho (0.4012, 0.0645, 0.8295) x2
Ho (0.4018, 0.5678, 0.3373) x2
B (0.0223, 0.2153, 0.5770) x2
B (0.0335, 0.7209, 0.1137) x2
B (0.2799, 0.7172, 0.8083) x2
B (0.3320, 0.2287, 0.2944) x2
B (0.3842, 0.2429, 0.5519) x2
B (0.3923, 0.7473, 0.0523) x2
O (0.0281, 0.1889, 0.4279) x2
O (0.0472, 0.4051, 0.8737) x2
O (0.0658, 0.1313, 0.9165) x2
O (0.0655, 0.9058, 0.3516) x2
O (0.0716, 0.6274, 0.4129) x2
O (0.0922, 0.6849, 0.8674) x2
O (0.2277, 0.1766, 0.6274) x2
O (0.2310, 0.6827, 0.1362) x2
O (0.2529, 0.8837, 0.7651) x2
O (0.2542, 0.3839, 0.2621) x2
O (0.3331, 0.1334, 0.1971) x2
O (0.3435, 0.6283, 0.6952) x2
O (0.3470, 0.4089, 0.5360) x2
O (0.3502, 0.9121, 0.0354) x2
O (0.4182, 0.1647, 0.4193) x2
O (0.4189, 0.6612, 0.9276) x2
O (0.4366, 0.3154, 0.8700) x2
O (0.4431, 0.8196, 0.3724) x2

=====

Calculated X-ray diffraction stick pattern
Compound: MgCu2Ge2O6
Radiation: Cu Kα X-rays
Structure: a cell relaxed with PBE
No peak broadening, texture or thermal motion is included.

Main lines, by intensity (15 to 90 degrees two-theta):
two_theta	intensity	h k l
28.1	100	1 0 2
25.2	79	1 0 -2
36.0	62	0 1 2
33.1	60	1 1 0
34.3	45	1 1 -1
20.2	34	1 0 1

Cell and atoms:
Unit cell a=5.5568 b=3.0999 c=8.4290 alpha=90.00 beta=96.27 gamma=90.00
Space group P2/m (No. 10)
Asymmetric unit:
Mg (0.0000, 0.0000, 0.0000) x1
Cu (0.5000, 0.0000, 0.0000) x1
Cu (0.5000, 0.0000, 0.5000) x1
Ge (0.1004, 0.5000, 0.7176) x2
O (0.0779, 0.0000, 0.2582) x2
O (0.2303, 0.5000, 0.9315) x2
O (0.2963, 0.5000, 0.5706) x2

=====

Calculated X-ray diffraction stick pattern
Compound: Ba5Y3F19
Radiation: Cu Kα X-rays
Structure: a cell relaxed with PBE
No peak broadening, texture or thermal motion is included.

Main lines, by intensity (15 to 90 degrees two-theta):
two_theta	intensity	h k l
25.5	100	1 -1 3
25.2	77	0 1 3
21.2	53	2 1 1
24.1	51	2 0 0
26.6	48	2 -1 1
40.0	46	3 3 -1

Cell and atoms:
Unit cell a=8.3684 b=11.9445 c=11.9466 alpha=82.96 beta=69.50 gamma=69.50
Space group P1 (No. 1)
Asymmetric unit:
Ba (0.0000, 0.0000, 0.0000) x1
Ba (0.0183, 0.4811, 0.4796) x1
Ba (0.2016, 0.0013, 0.6026) x1
Ba (0.3229, 0.3583, 0.9954) x1
Ba (0.4503, 0.6757, 0.8003) x1
Ba (0.4958, 0.8756, 0.1199) x1
Ba (0.5160, 0.3571, 0.6033) x1
Ba (0.6951, 0.4792, 0.1258) x1
Ba (0.8262, 0.8767, 0.4735) x1
Ba (0.9461, 0.6721, 0.7982) x1
Y (0.0842, 0.6723, 0.1354) x1
Y (0.4212, 0.6791, 0.4593) x1
Y (0.4264, 0.1788, 0.2976) x1
Y (0.5850, 0.0080, 0.8000) x1
Y (0.9169, 0.3453, 0.7982) x1
Y (0.9270, 0.1729, 0.2964) x1
F (0.0108, 0.5191, 0.1310) x1
F (0.0128, 0.3950, 0.9324) x1
F (0.0346, 0.1432, 0.7992) x1
F (0.1264, 0.6729, 0.9429) x1
F (0.1375, 0.3981, 0.6665) x1
F (0.1694, 0.1819, 0.2968) x1
F (0.1883, 0.8313, 0.4644) x1
F (0.2030, 0.8855, 0.7949) x1
F (0.2309, 0.8034, 0.0776) x1
F (0.2594, 0.6774, 0.6568) x1
F (0.3005, 0.1889, 0.4913) x1
F (0.3108, 0.3692, 0.2839) x1
F (0.3426, 0.0125, 0.9572) x1
F (0.3486, 0.5193, 0.4595) x1
F (0.3696, 0.5436, 0.0758) x1
F (0.4013, 0.4672, 0.7968) x1
F (0.4936, 0.9785, 0.3100) x1
F (0.5022, 0.1612, 0.1042) x1
F (0.5018, 0.2099, 0.7981) x1
F (0.5027, 0.0113, 0.6446) x1
F (0.5154, 0.8051, 0.5152) x1
F (0.5334, 0.6780, 0.2646) x1
F (0.6204, 0.8174, 0.7970) x1
F (0.6363, 0.5467, 0.5192) x1
F (0.6621, 0.1805, 0.3030) x1
F (0.6913, 0.3385, 0.9562) x1
F (0.6924, 0.6802, 0.0082) x1
F (0.7277, 0.9544, 0.9310) x1
F (0.7724, 0.5305, 0.7957) x1
F (0.8032, 0.3689, 0.3075) x1
F (0.8097, 0.1662, 0.4886) x1
F (0.8448, 0.3427, 0.6381) x1
F (0.8459, 0.8376, 0.1328) x1
F (0.8586, 0.9563, 0.6665) x1
F (0.9010, 0.6794, 0.5907) x1
F (0.9906, 0.1825, 0.1041) x1
F (0.9951, 0.6736, 0.3323) x1
F (0.9951, 0.9836, 0.2919) x1

=====

Calculated X-ray diffraction stick pattern
Compound: MgNb2P2O10
Radiation: Cu Kα X-rays
Structure: a cell relaxed with PBE
No peak broadening, texture or thermal motion is included.

Main lines, by intensity (15 to 90 degrees two-theta):
two_theta	intensity	h k l
21.5	100	1 0 1
27.1	69	2 0 0
39.1	25	1 1 2
56.2	24	3 1 2
44.7	23	3 0 1
34.9	16	2 1 1

Cell and atoms:
Unit cell a=6.5743 b=6.5743 c=5.3115 alpha=90.00 beta=90.00 gamma=90.00
Space group P-4 (No. 81)
Asymmetric unit:
Mg (0.0000, 0.0000, 0.0000) x1
Nb (0.0000, 0.5000, 0.2407) x2
P (0.0000, 0.0000, 0.5000) x1
P (0.5000, 0.5000, 0.5000) x1
O (0.0000, 0.5000, 0.9095) x2
O (0.0245, 0.1770, 0.3104) x4
O (0.3060, 0.5246, 0.3370) x4

=====

Calculated X-ray diffraction stick pattern
Compound: K3Mn2Cl7
Radiation: Cu Kα X-rays
Structure: a cell relaxed with PBE
No peak broadening, texture or thermal motion is included.

Main lines, by intensity (15 to 90 degrees two-theta):
two_theta	intensity	h k l
35.4	100	2 0 0
50.6	50	2 0 10
32.6	49	1 1 6
24.8	45	1 1 0
34.9	42	0 0 10
51.0	31	2 2 0

Cell and atoms:
Unit cell a=5.0691 b=5.0691 c=25.6960 alpha=90.00 beta=90.00 gamma=90.00
Space group I4/mmm (No. 139)
Asymmetric unit:
K (0.0000, 0.0000, 0.0000) x2
K (0.0000, 0.0000, 0.1816) x4
Mn (0.0000, 0.0000, 0.3995) x4
Cl (0.0000, 0.0000, 0.3033) x4
Cl (0.0000, 0.0000, 0.5000) x2
Cl (0.0000, 0.5000, 0.0970) x8

=====

Calculated X-ray diffraction stick pattern
Compound: TiAs2O7
Radiation: Cu Kα X-rays
Structure: a cell relaxed with PBE
No peak broadening, texture or thermal motion is included.

Main lines, by intensity (15 to 90 degrees two-theta):
two_theta	intensity	h k l
21.7	100	1 2 -1
22.1	48	0 1 2
25.0	38	0 2 2
33.8	31	1 3 1
34.3	26	2 0 -2
20.1	23	1 0 -2

Cell and atoms:
Unit cell a=5.2365 b=13.1961 c=9.8434 alpha=90.00 beta=120.91 gamma=90.00
Space group P2_1/c (No. 14)
Asymmetric unit:
Ti (0.1345, 0.1519, 0.3447) x4
As (0.2726, 0.6913, 0.5601) x4
As (0.3818, 0.0168, 0.6900) x4
O (0.0206, 0.1804, 0.1276) x4
O (0.1423, 0.5343, 0.2392) x4
O (0.1790, 0.7400, 0.1743) x4
O (0.2265, 0.1154, 0.5616) x4
O (0.3165, 0.5639, 0.6294) x4
O (0.4023, 0.2276, 0.9240) x4
O (0.4689, 0.0715, 0.3746) x4

=====

Calculated X-ray diffraction stick pattern
Compound: Pu2Cl2O
Radiation: Cu Kα X-rays
Structure: a cell relaxed with PBE
No peak broadening, texture or thermal motion is included.

Main lines, by intensity (15 to 90 degrees two-theta):
two_theta	intensity	h k l
24.7	100	1 0 0
32.7	47	1 0 3
35.2	40	1 1 0
21.1	33	0 0 3
41.4	26	1 1 3
50.2	25	1 0 6

Cell and atoms:
Unit cell a=3.6061 b=3.6061 c=12.6135 alpha=90.00 beta=90.00 gamma=90.00
Space group P4/mmm (No. 123)
Asymmetric unit:
Pu (0.0000, 0.0000, 0.1639) x2
Cl (0.0000, 0.0000, 0.3609) x2
O (0.0000, 0.0000, 0.0000) x1